Starting from a crystal structure in Alexandria, relaxed with GGA-PBE, the powder X-ray diffraction pattern of CdCuRh2 was simulated for λ = 1.5418 Å (Cu Kα).
Lines closer than 0.1° are merged.

The 6 most intense peaks (2θ = 10–90°), in order of falling intensity:
| 2θ/deg | I/Imax | h k l |
| --- | --- | --- |
| 41.9 | 1000 | 0 2 1 |
| 42.5 | 963 | 2 2 0 |
| 38.4 | 644 | 2 0 -1 |
| 39.0 | 619 | 0 4 0 |
| 55.9 | 418 | 2 4 -1 |
| 72.6 | 370 | 0 6 1 |

Structural model:
abc: 5.4260 9.2483 2.7557
angles: 90.00 117.94 90.00
Space group C2/m (No. 12)
Symmetry-distinct sites (fractional):
1 Cd 0.0000 0.0000 0.0000 x2
2 Cu 0.0000 0.5000 0.0000 x2
3 Rh 0.2500 0.2500 0.5000 x4